ZrSCl6O: theoretical powder X-ray diffraction pattern (a wavelength of 1.5418 Å), based on a crystal structure in the Materials Project, relaxed with PBE.
Kinematic intensities with the Lorentz-polarization factor, no thermal factor.

Structure:
abc: 7.568 23.992 7.208
angles: 90.00 113.66 90.00
Space group P2_1/c (No. 14)
One atom of each set of equivalent atoms:
1 Zr 0.153 0.070 0.008 x4
2 S 0.321 0.629 0.873 x4
3 Cl 0.043 0.523 0.308 x4
4 Cl 0.158 0.156 0.180 x4
5 Cl 0.220 0.656 0.085 x4
6 Cl 0.254 0.102 0.753 x4
7 Cl 0.336 0.705 0.744 x4
8 Cl 0.448 0.033 0.237 x4
9 O 0.165 0.597 0.719 x4

The 12 most intense peaks (2θ = 10–90°), most intense first:
index  2θ/deg  intensity
1 1 -1  14.79  100
1 2 1  23.24  61
1 3 0  16.93  55
0 1 1  13.91  54
1 2 -1  16.14  50
0 8 1  32.80  38
2 4 0  29.78  31
2 3 -2  31.06  30
0 3 1  17.42  27
2 2 1  34.53  25
1 4 -1  20.64  25
0 7 1  29.35  23